Starting from a cell relaxed with GGA-PBE, the powder diffractogram of Dy3ErPt was calculated for Cu Kα, 1.54184 Å.

Main lines, low angle first (5° ≤ 2θ ≤ 70°):
d [Å], I/Imax
3.048, 37
2.821, 100
2.752, 39
2.690, 55
2.648, 57
2.562, 72
1.875, 26
1.478, 25

Crystal structure
a b c (Å): 6.370 5.125 8.708
angles (deg): 90.00 97.06 90.00
Fractional coordinates of all 10 atoms:
Dy 0.175 0.250 0.021
Dy 0.215 0.250 0.442
Dy 0.276 0.750 0.761
Dy 0.724 0.250 0.239
Dy 0.785 0.750 0.558
Dy 0.825 0.750 0.979
Er 0.388 0.750 0.212
Er 0.612 0.250 0.788
Pt 0.030 0.250 0.711
Pt 0.970 0.750 0.289

Starting from a cell relaxed with GGA-PBE, the powder diffractogram of DyHo5Sc5 was calculated for Cu Kα, 1.54184 Å.

Main lines, low angle first (5° ≤ 2θ ≤ 70°):
d [Å], I/Imax
11.246, 24
2.998, 100
2.884, 87
2.793, 24
2.285, 17
2.078, 24
1.686, 37
1.572, 18

Crystal structure
a b c (Å): 5.767 5.767 11.246
angles (deg): 90.00 90.00 120.00
Fractional coordinates of all 11 atoms:
Dy 0.000 0.000 0.000
Ho 0.000 0.000 0.319
Ho 0.000 0.000 0.681
Ho 0.333 0.667 0.160
Ho 0.333 0.667 0.840
Ho 0.667 0.333 0.000
Sc 0.502 0.004 0.500
Sc 0.502 0.498 0.500
Sc 0.667 0.333 0.269
Sc 0.667 0.333 0.731
Sc 0.996 0.498 0.500

Starting from a cell relaxed with GGA-PBE, the powder diffractogram of MgO was calculated for Cu Kα, 1.54184 Å.

Main lines, low angle first (5° ≤ 2θ ≤ 70°):
d [Å], I/Imax
2.457, 10
2.128, 100
1.505, 56

Crystal structure
a b c (Å): 4.256 4.256 4.256
angles (deg): 90.00 90.00 90.00
Fractional coordinates of all 8 atoms:
Mg 0.000 0.000 0.000
Mg 0.000 0.500 0.500
Mg 0.500 0.000 0.500
Mg 0.500 0.500 0.000
O 0.000 0.000 0.500
O 0.000 0.500 0.000
O 0.500 0.000 0.000
O 0.500 0.500 0.500